1.
Simulated powder X-ray diffraction pattern
Compound: NdSb12Os4
Radiation: CuKα
Structure: the PBE geometry in Alexandria
Neutral-atom scattering factors, no anomalous dispersion.

Cell and atoms:
```
data_NdSb12Os4
_chemical_formula_sum 'Nd2 Sb24 Os8'
_space_group_name_H-M_alt 'I m -3'
_space_group_IT_number 204
_space_group_name_Hall '-I 2 2 3'
_cell_length_a 9.416
_cell_length_b 9.416
_cell_length_c 9.416
_cell_angle_alpha 90.00
_cell_angle_beta 90.00
_cell_angle_gamma 90.00
loop_
_atom_site_label
_atom_site_type_symbol
_atom_site_fract_x
_atom_site_fract_y
_atom_site_fract_z
Nd1 Nd 0.000 0.000 0.000
Sb1 Sb 0.000 0.339 0.157
Os1 Os 0.250 0.250 0.250
```

The 10 most intense peaks (10 to 90 degrees two-theta), most intense first:
- (3 0 1), 2θ 30.01, d = 2.978 Å, intensity 100
- (4 2 2), 2θ 47.29, d = 1.922 Å, intensity 62
- (4 2 0), 2θ 42.96, d = 2.106 Å, intensity 52
- (3 1 2), 2θ 35.68, d = 2.517 Å, intensity 47
- (2 2 0), 2θ 26.78, d = 3.329 Å, intensity 30
- (2 0 0), 2θ 18.85, d = 4.708 Å, intensity 29
- (4 3 1), 2θ 49.35, d = 1.847 Å, intensity 28
- (6 6 0), 2θ 88.01, d = 1.110 Å, intensity 25
- (6 1 3), 2θ 67.46, d = 1.388 Å, intensity 18
- (6 0 2), 2θ 62.37, d = 1.489 Å, intensity 16

***

2.
Simulated powder X-ray diffraction pattern
Compound: NdSi2TcOs
Radiation: CuKα
Structure: the PBE geometry in Alexandria
Neutral-atom scattering factors, no anomalous dispersion.

Cell and atoms:
```
data_NdSi2TcOs
_chemical_formula_sum 'Nd2 Si4 Tc2 Os2'
_space_group_name_H-M_alt 'I -4 m 2'
_space_group_IT_number 119
_space_group_name_Hall 'I -4 -2'
_cell_length_a 4.203
_cell_length_b 4.203
_cell_length_c 10.021
_cell_angle_alpha 90.00
_cell_angle_beta 90.00
_cell_angle_gamma 90.00
loop_
_atom_site_label
_atom_site_type_symbol
_atom_site_fract_x
_atom_site_fract_y
_atom_site_fract_z
Nd1 Nd 0.000 0.000 0.000
Si1 Si 0.000 0.000 0.370
Tc1 Tc 0.000 0.500 0.250
Os1 Os 0.000 0.500 0.750
```

The 10 most intense peaks (10 to 90 degrees two-theta), most intense first:
- (1 1 2), 2θ 35.10, d = 2.556 Å, intensity 100
- (2 0 0), 2θ 43.04, d = 2.102 Å, intensity 37
- (1 0 1), 2θ 22.94, d = 3.876 Å, intensity 28
- (1 0 3), 2θ 34.29, d = 2.615 Å, intensity 25
- (3 1 2), 2θ 73.75, d = 1.285 Å, intensity 23
- (2 0 4), 2θ 57.21, d = 1.610 Å, intensity 19
- (1 1 6), 2θ 63.94, d = 1.456 Å, intensity 19
- (0 0 4), 2θ 35.84, d = 2.505 Å, intensity 18
- (0 0 2), 2θ 17.70, d = 5.011 Å, intensity 16
- (2 1 3), 2θ 56.15, d = 1.638 Å, intensity 12